Record 1
This entry pairs a crystal structure of MgHgAsHO5 with its simulated powder X-ray diffraction pattern. Radiation: λ = 1.5418 Å (Cu Kα). Structure: DFT lattice parameters and positions (PBE).
Peak positions follow from Bragg's law for the DFT cell and can differ from measured ones.

Atomic structure:
Lattice parameters (Å, degrees): 7.641 6.200 8.683 90.00 90.00 90.00
Space group Pnma (No. 62)
Unique sites:
Mg (0.000, 0.000, 0.000) x4
Hg (0.114, 0.250, 0.326) x4
As (0.147, 0.250, 0.684) x4
H (0.233, 0.750, 0.544) x4
O (0.018, 0.750, 0.455) x4
O (0.132, 0.019, 0.791) x8
O (0.144, 0.250, 0.078) x4
O (0.163, 0.750, 0.077) x4

Main lines, low angle first (10 to 80 degrees two-theta):
two_theta	intensity	hkl
17.58	34	0 1 1
21.10	33	1 1 1
27.42	100	2 1 0
28.80	43	0 2 0
34.45	44	2 1 2
36.21	46	1 1 3

Record 2
This entry pairs a crystal structure of RbGdSeO with its simulated powder X-ray diffraction pattern. Radiation: λ = 1.5418 Å (Cu Kα). Structure: DFT lattice parameters and positions (PBE).
Peak positions follow from Bragg's law for the DFT cell and can differ from measured ones.

Atomic structure:
Lattice parameters (Å, degrees): 8.115 7.545 6.687 90.00 101.59 90.00
Space group P2_1/c (No. 14)
Unique sites:
Rb (0.089, 0.221, 0.489) x4
Gd (0.477, 0.628, 0.779) x4
Se (0.251, 0.591, 0.361) x4
O (0.409, 0.147, 0.384) x4

Main lines, low angle first (10 to 80 degrees two-theta):
two_theta	intensity	hkl
11.13	91	1 0 0
27.27	39	1 0 -2
28.46	100	1 2 -1
31.56	88	1 0 2
33.71	45	2 2 -1
37.33	54	2 2 1

Record 3
This entry pairs a crystal structure of TbDy2Mg3TlGa2 with its simulated powder X-ray diffraction pattern. Radiation: λ = 1.5418 Å (Cu Kα). Structure: DFT lattice parameters and positions (PBE).
Peak positions follow from Bragg's law for the DFT cell and can differ from measured ones.

Atomic structure:
Lattice parameters (Å, degrees): 4.549 12.732 7.340 90.00 90.00 90.00
Space group Amm2 (No. 38)
Unique sites:
Tb (0.000, 0.000, 0.000) x2
Dy (0.000, 0.218, 0.655) x4
Mg (0.500, 0.000, 0.687) x2
Mg (0.500, 0.125, 0.312) x4
Tl (0.000, 0.000, 0.438) x2
Ga (0.500, 0.167, 0.937) x4

Main lines, low angle first (10 to 80 degrees two-theta):
two_theta	intensity	hkl
19.52	30	1 0 0
28.05	42	0 4 0
31.30	26	1 0 2
34.40	100	1 2 2
39.63	20	2 0 0
42.54	19	0 6 0

Record 4
This entry pairs a crystal structure of Cu2Ag3 with its simulated powder X-ray diffraction pattern. Radiation: λ = 1.5418 Å (Cu Kα). Structure: DFT lattice parameters and positions (PBE).
Peak positions follow from Bragg's law for the DFT cell and can differ from measured ones.

Atomic structure:
Lattice parameters (Å, degrees): 9.322 2.847 11.881 90.00 99.87 90.00
Space group Cm (No. 8)
Unique sites:
Cu (0.000, 0.000, 0.000) x2
Cu (0.079, 0.000, 0.717) x2
Cu (0.192, 0.000, 0.419) x2
Cu (0.410, 0.000, 0.818) x2
Ag (0.095, 0.500, 0.210) x2
Ag (0.200, 0.500, 0.898) x2
Ag (0.286, 0.500, 0.629) x2
Ag (0.302, 0.000, 0.101) x2
Ag (0.389, 0.500, 0.318) x2
Ag (0.494, 0.000, 0.521) x2

Main lines, low angle first (10 to 80 degrees two-theta):
two_theta	intensity	hkl
39.24	51	2 0 4
39.41	100	1 1 -3
39.63	48	4 0 -2
45.05	70	3 1 1
47.41	25	2 0 -6
79.12	23	2 2 4

Record 5
This entry pairs a crystal structure of Ac2CdGe2 with its simulated powder X-ray diffraction pattern. Radiation: λ = 1.5418 Å (Cu Kα). Structure: DFT lattice parameters and positions (PBE).
Peak positions follow from Bragg's law for the DFT cell and can differ from measured ones.

Atomic structure:
Lattice parameters (Å, degrees): 7.897 7.897 9.244 90.00 90.00 90.00
Space group P4/mnc (No. 128)
Unique sites:
Ac (0.180, 0.319, 0.000) x8
Cd (0.000, 0.000, 0.250) x4
Ge (0.116, 0.616, 0.250) x8

Main lines, low angle first (10 to 80 degrees two-theta):
two_theta	intensity	hkl
25.22	23	2 1 0
29.76	62	2 0 2
31.89	100	2 1 2
35.96	29	3 1 0
38.97	22	0 0 4
51.66	22	4 1 2

Record 6
This entry pairs a crystal structure of Ta8W7 with its simulated powder X-ray diffraction pattern. Radiation: λ = 1.5418 Å (Cu Kα). Structure: DFT lattice parameters and positions (PBE).
Peak positions follow from Bragg's law for the DFT cell and can differ from measured ones.

Atomic structure:
Lattice parameters (Å, degrees): 9.996 9.996 5.266 90.00 90.00 90.00
Space group P4_2/mnm (No. 136)
Unique sites:
Ta (0.065, 0.262, 0.000) x8
Ta (0.182, 0.818, 0.251) x8
W (0.000, 0.000, 0.000) x2
W (0.036, 0.370, 0.500) x8
W (0.104, 0.104, 0.500) x4

Main lines, low angle first (10 to 80 degrees two-theta):
two_theta	intensity	hkl
37.08	79	4 1 0
38.20	37	3 3 0
38.65	33	2 0 2
39.73	66	2 1 2
40.98	100	4 1 1
42.01	47	3 3 1